No. 1
# AcMg4In4
Theoretical powder diffractogram, copper Kα. Input: DFT lattice parameters and positions (GGA-PBE).
Lines closer than 0.1° are merged.

Principal peaks in the range 2θ from 5° to 70°, by angle:
d 3.497, 2θ = 25.47°, I = 50, (1 1 2)
d 3.293, 2θ = 27.07°, I = 50, (2 0 1)
d 2.982, 2θ = 29.96°, I = 100, (1 0 3)
d 2.401, 2θ = 37.46°, I = 24, (2 0 3)
d 2.210, 2θ = 40.84°, I = 47, (2 2 2)
d 1.902, 2θ = 47.81°, I = 30, (3 0 3)

a = 6.983 Å, b = 6.983 Å, c = 9.918 Å
α = 90.00°, β = 90.00°, γ = 90.00°
Space group P4_2/nmc (No. 137, origin choice 2)
Unique sites:
Ac (0.250, 0.750, 0.250) [2 per cell]
Mg (0.022, 0.250, 0.161) [8 per cell]
In (0.035, 0.250, 0.455) [8 per cell]


No. 2
# AcMg3In9
Theoretical powder diffractogram, copper Kα. Input: DFT lattice parameters and positions (GGA-PBE).
Lines closer than 0.1° are merged.

Principal peaks in the range 2θ from 5° to 70°, by angle:
d 3.161, 2θ = 28.24°, I = 100, (2 0 -1)
d 2.997, 2θ = 29.81°, I = 85, (1 3 -2)
d 2.742, 2θ = 32.66°, I = 57, (2 2 0)
d 2.670, 2θ = 33.57°, I = 92, (1 1 2)
d 2.634, 2θ = 34.04°, I = 91, (1 5 0)
d 2.599, 2θ = 34.50°, I = 89, (0 4 2)

a = 6.328 Å, b = 14.710 Å, c = 7.871 Å
α = 90.00°, β = 110.97°, γ = 90.00°
Space group C2/m (No. 12)
Unique sites:
Ac (0.000, 0.000, 0.000) [2 per cell]
Mg (0.000, 0.500, 0.500) [2 per cell]
Mg (0.250, 0.250, 0.000) [4 per cell]
In (0.000, 0.000, 0.500) [2 per cell]
In (0.101, 0.392, 0.212) [8 per cell]
In (0.178, 0.177, 0.349) [8 per cell]


No. 3
# Ac3Mg2In4
Theoretical powder diffractogram, copper Kα. Input: DFT lattice parameters and positions (GGA-PBE).
Lines closer than 0.1° are merged.

Principal peaks in the range 2θ from 5° to 70°, by angle:
d 4.378, 2θ = 20.29°, I = 22, (1 1 -1)
d 3.052, 2θ = 29.27°, I = 100, (1 1 2)
d 2.528, 2θ = 35.52°, I = 50, (0 2 0)
d 1.947, 2θ = 46.64°, I = 22, (2 0 -5)
d 1.629, 2θ = 56.50°, I = 14, (1 1 5)
d 1.544, 2θ = 59.92°, I = 14, (1 3 2)

a = 12.188 Å, b = 5.062 Å, c = 9.731 Å
α = 90.00°, β = 109.77°, γ = 90.00°
Space group C2/m (No. 12)
Unique sites:
Ac (0.000, 0.000, 0.000) [2 per cell]
Ac (0.147, 0.500, 0.680) [4 per cell]
Mg (0.150, 0.500, 0.317) [4 per cell]
In (0.082, 0.000, 0.412) [4 per cell]
In (0.208, 0.500, 0.051) [4 per cell]


No. 4
# Ac2Mg12In7
Theoretical powder diffractogram, copper Kα. Input: DFT lattice parameters and positions (GGA-PBE).
Lines closer than 0.1° are merged.

Principal peaks in the range 2θ from 5° to 70°, by angle:
d 10.167, 2θ = 8.70°, I = 29, (1 0 0)
d 3.843, 2θ = 23.15°, I = 34, (2 1 0)
d 3.409, 2θ = 26.14°, I = 65, (0 2 1)
d 2.948, 2θ = 30.32°, I = 100, (3 -1 1)
d 2.403, 2θ = 37.42°, I = 29, (4 -3 1)
d 2.219, 2θ = 40.67°, I = 51, (1 4 0)

a = 11.7400 Å, b = 11.7400 Å, c = 4.5954 Å
α = 90.00°, β = 90.00°, γ = 120.00°
Space group P-3 (No. 147)
Unique sites:
Ac (0.3333, 0.6667, 0.2586) [2 per cell]
Mg (0.0442, 0.4293, 0.7505) [6 per cell]
Mg (0.1124, 0.2659, 0.2443) [6 per cell]
In (0.0000, 0.0000, 0.5000) [1 per cell]
In (0.1292, 0.7104, 0.7513) [6 per cell]


No. 5
# Ac3Mg7In2
Theoretical powder diffractogram, copper Kα. Input: DFT lattice parameters and positions (GGA-PBE).
Lines closer than 0.1° are merged.

Principal peaks in the range 2θ from 5° to 70°, by angle:
d 5.392, 2θ = 16.44°, I = 36, (1 0 1)
d 4.983, 2θ = 17.80°, I = 43, (0 0 6)
d 3.369, 2θ = 26.45°, I = 42, (1 0 7)
d 3.165, 2θ = 28.20°, I = 88, (1 1 0)
d 2.672, 2θ = 33.54°, I = 100, (1 1 6)
d 1.715, 2θ = 53.41°, I = 27, (3 0 6)

a = 6.3294 Å, b = 6.3294 Å, c = 29.9003 Å
α = 90.00°, β = 90.00°, γ = 120.00°
Space group R-3m (No. 166, hexagonal axes)
Unique sites:
Ac (0.0000, 0.0000, 0.0000) [3 per cell]
Ac (0.0000, 0.0000, 0.1440) [6 per cell]
Mg (0.0000, 0.0000, 0.5000) [3 per cell]
Mg (0.0031, 0.5015, 0.9188) [18 per cell]
In (0.0000, 0.0000, 0.3342) [6 per cell]


No. 6
# AcMg2In4
Theoretical powder diffractogram, copper Kα. Input: DFT lattice parameters and positions (GGA-PBE).
Lines closer than 0.1° are merged.

Principal peaks in the range 2θ from 5° to 70°, by angle:
d 5.478, 2θ = 16.18°, I = 47, (1 0 1)
d 3.122, 2θ = 28.59°, I = 100, (2 0 0)
d 2.853, 2θ = 31.35°, I = 29, (0 0 4)
d 2.208, 2θ = 40.88°, I = 38, (2 2 0)
d 2.106, 2θ = 42.94°, I = 50, (2 0 4)
d 1.746, 2θ = 52.40°, I = 32, (2 2 4)

a = 6.244 Å, b = 6.244 Å, c = 11.414 Å
α = 90.00°, β = 90.00°, γ = 90.00°
Space group I4/mmm (No. 139)
Unique sites:
Ac (0.000, 0.000, 0.000) [2 per cell]
Mg (0.000, 0.000, 0.359) [4 per cell]
In (0.000, 0.500, 0.000) [4 per cell]
In (0.000, 0.500, 0.250) [4 per cell]


No. 7
# Ac3MgIn2Pd6
Theoretical powder diffractogram, copper Kα. Input: DFT lattice parameters and positions (GGA-PBE).
Lines closer than 0.1° are merged.

Principal peaks in the range 2θ from 5° to 70°, by angle:
d 3.424, 2θ = 26.02°, I = 43, (0 1 2)
d 3.041, 2θ = 29.37°, I = 51, (0 0 3)
d 2.992, 2θ = 29.86°, I = 58, (1 1 0)
d 2.502, 2θ = 35.89°, I = 60, (1 1 2)
d 2.493, 2θ = 36.03°, I = 100, (0 2 1)
d 2.253, 2θ = 40.01°, I = 70, (2 0 2)

a = 5.9844 Å, b = 5.9844 Å, c = 9.1244 Å
α = 90.00°, β = 90.00°, γ = 120.00°
Space group P-3m1 (No. 164)
Unique sites:
Ac (0.0000, 0.0000, 0.0000) [1 per cell]
Ac (0.3333, 0.6667, 0.6271) [2 per cell]
Mg (0.0000, 0.0000, 0.5000) [1 per cell]
In (0.3333, 0.6667, 0.0263) [2 per cell]
Pd (0.1740, 0.3479, 0.2850) [6 per cell]


No. 8
# AcMgIn2Pd2
Theoretical powder diffractogram, copper Kα. Input: DFT lattice parameters and positions (GGA-PBE).
Lines closer than 0.1° are merged.

Principal peaks in the range 2θ from 5° to 70°, by angle:
d 4.811, 2θ = 18.44°, I = 44, (1 0 1)
d 3.122, 2θ = 28.59°, I = 46, (1 1 2)
d 3.044, 2θ = 29.34°, I = 49, (1 0 3)
d 2.780, 2θ = 32.20°, I = 50, (0 0 4)
d 2.668, 2θ = 33.59°, I = 100, (2 0 0)
d 1.925, 2θ = 47.22°, I = 68, (2 0 4)

a = 5.336 Å, b = 5.336 Å, c = 11.120 Å
α = 90.00°, β = 90.00°, γ = 90.00°
Space group I4/mmm (No. 139)
Unique sites:
Ac (0.000, 0.000, 0.000) [2 per cell]
Mg (0.000, 0.000, 0.500) [2 per cell]
In (0.000, 0.500, 0.250) [4 per cell]
Pd (0.000, 0.000, 0.274) [4 per cell]


No. 9
# AcMgInPd3
Theoretical powder diffractogram, copper Kα. Input: DFT lattice parameters and positions (GGA-PBE).
Lines closer than 0.1° are merged.

Principal peaks in the range 2θ from 5° to 70°, by angle:
d 4.172, 2θ = 21.30°, I = 50, (1 1 1)
d 3.067, 2θ = 29.12°, I = 55, (0 4 1)
d 2.920, 2θ = 30.62°, I = 55, (0 2 2)
d 2.364, 2θ = 38.06°, I = 76, (0 4 2)
d 2.267, 2θ = 39.77°, I = 67, (2 4 0)
d 2.186, 2θ = 41.31°, I = 100, (2 0 2)

a = 5.962 Å, b = 13.959 Å, c = 6.429 Å
α = 90.00°, β = 90.00°, γ = 90.00°
Space group Cmcm (No. 63)
Unique sites:
Ac (0.000, 0.164, 0.250) [4 per cell]
Mg (0.000, 0.133, 0.750) [4 per cell]
In (0.000, 0.396, 0.250) [4 per cell]
Pd (0.000, 0.340, 0.750) [4 per cell]
Pd (0.237, 0.000, 0.000) [8 per cell]


No. 10
# Ac2MgInPt6
Theoretical powder diffractogram, copper Kα. Input: DFT lattice parameters and positions (GGA-PBE).
Lines closer than 0.1° are merged.

Principal peaks in the range 2θ from 5° to 70°, by angle:
d 4.209, 2θ = 21.11°, I = 68, (0 0 6)
d 3.558, 2θ = 25.03°, I = 33, (0 1 5)
d 2.459, 2θ = 36.55°, I = 98, (2 0 2)
d 2.330, 2θ = 38.65°, I = 100, (0 2 4)
d 2.256, 2θ = 39.97°, I = 32, (1 0 10)
d 1.963, 2θ = 46.25°, I = 30, (2 0 8)

a = 5.7887 Å, b = 5.7887 Å, c = 25.2565 Å
α = 90.00°, β = 90.00°, γ = 120.00°
Space group R-3m (No. 166, hexagonal axes)
Unique sites:
Ac (0.0000, 0.0000, 0.2088) [6 per cell]
Mg (0.0000, 0.0000, 0.5000) [3 per cell]
In (0.0000, 0.0000, 0.0000) [3 per cell]
Pt (0.0032, 0.5016, 0.2473) [18 per cell]


No. 11
# Ac2Mg4TlIn3
Theoretical powder diffractogram, copper Kα. Input: DFT lattice parameters and positions (GGA-PBE).
Lines closer than 0.1° are merged.

Principal peaks in the range 2θ from 5° to 70°, by angle:
d 3.275, 2θ = 27.23°, I = 27, (1 1 1)
d 3.097, 2θ = 28.83°, I = 55, (1 0 3)
d 2.967, 2θ = 30.12°, I = 100, (1 1 2)
d 2.405, 2θ = 37.40°, I = 47, (2 0 0)
d 2.168, 2θ = 41.67°, I = 29, (1 0 5)
d 1.899, 2θ = 47.90°, I = 28, (2 1 3)

a = 4.809 Å, b = 4.809 Å, c = 12.141 Å
α = 90.00°, β = 90.00°, γ = 90.00°
Space group P-4m2 (No. 115)
Unique sites:
Ac (0.000, 0.500, 0.249) [2 per cell]
Mg (0.000, 0.000, 0.000) [1 per cell]
Mg (0.000, 0.500, 0.636) [2 per cell]
Mg (0.500, 0.500, 0.000) [1 per cell]
Tl (0.000, 0.000, 0.500) [1 per cell]
In (0.000, 0.500, 0.863) [2 per cell]
In (0.500, 0.500, 0.500) [1 per cell]